Record 1
The following is a theoretical powder diffraction line list of Li3CeGa8. It was derived from a DFT-relaxed cell (PBE, the Materials Project), using Cu Kα, 1.54184 Å.
Neutral-atom scattering factors, no anomalous dispersion.

Principal peaks in the range 15° ≤ 2θ ≤ 90°, by intensity:
| 2θ/deg | d/Å | I/Imax |
| --- | --- | --- |
| 35.24 | 2.547 | 100.0 |
| 41.58 | 2.172 | 92.5 |
| 25.75 | 3.460 | 32.8 |
| 49.55 | 1.840 | 32.0 |
| 26.98 | 3.305 | 31.0 |
| 24.52 | 3.630 | 28.8 |
| 69.46 | 1.353 | 27.4 |
| 55.61 | 1.653 | 26.3 |

a = 4.3456 Å, b = 7.5216 Å, c = 13.8397 Å
α = 90.00°, β = 90.00°, γ = 90.00°
Space group Cmmm (No. 65)
Inequivalent atoms, fractional coordinates:
Li1 0.0000 0.0000 0.0000
Li2 0.0000 0.0000 0.2424
Ce1 0.0000 0.0000 0.5000
Ga1 0.0000 0.3324 0.3567
Ga2 0.0000 0.3335 0.1262

Record 2
The following is a theoretical powder diffraction line list of Pr2Ge6Pt. It was derived from a DFT-relaxed cell (PBE, the Materials Project), using Cu Kα, 1.54184 Å.
Neutral-atom scattering factors, no anomalous dispersion.

Principal peaks in the range 15° ≤ 2θ ≤ 90°, by intensity:
| 2θ/deg | d/Å | I/Imax |
| --- | --- | --- |
| 32.50 | 2.755 | 100.0 |
| 31.96 | 2.801 | 32.9 |
| 42.89 | 2.109 | 24.5 |
| 43.49 | 2.081 | 23.5 |
| 42.23 | 2.140 | 22.0 |
| 41.49 | 2.176 | 16.5 |
| 62.72 | 1.481 | 15.7 |
| 61.76 | 1.502 | 14.2 |

a = 4.2176 Å, b = 4.1621 Å, c = 22.4540 Å
α = 90.00°, β = 90.00°, γ = 90.00°
Space group Amm2 (No. 38)
Inequivalent atoms, fractional coordinates:
Pr1 0.0000 0.0000 0.0000
Pr2 0.0000 0.0000 0.3362
Ge1 0.0000 0.0000 0.6200
Ge2 0.0000 0.0000 0.7313
Ge3 0.5000 0.0000 0.1214
Ge4 0.5000 0.0000 0.2328
Ge5 0.5000 0.0000 0.4488
Ge6 0.5000 0.0000 0.8811
Pt1 0.5000 0.0000 0.5586

Record 3
The following is a theoretical powder diffraction line list of Re3Pb2Se6. It was derived from a DFT-relaxed cell (PBE, the Materials Project), using Cu Kα, 1.54184 Å.
Neutral-atom scattering factors, no anomalous dispersion.

Principal peaks in the range 15° ≤ 2θ ≤ 90°, by intensity:
| 2θ/deg | d/Å | I/Imax |
| --- | --- | --- |
| 38.20 | 2.356 | 100.0 |
| 45.26 | 2.004 | 87.7 |
| 18.86 | 4.704 | 84.7 |
| 49.19 | 1.852 | 74.7 |
| 38.08 | 2.363 | 70.8 |
| 28.20 | 3.164 | 69.2 |
| 17.27 | 5.134 | 67.9 |
| 30.81 | 2.902 | 58.4 |

a = 17.4838 Å, b = 9.9874 Å, c = 12.4370 Å
α = 90.00°, β = 91.61°, γ = 90.00°
Space group C2/c (No. 15)
Inequivalent atoms, fractional coordinates:
Re1 0.1639 0.1480 0.4630
Re2 0.2033 0.3111 0.6268
Re3 0.2072 0.3953 0.4227
Pb1 0.0000 0.1888 0.7500
Pb2 0.0000 0.4118 0.2500
Pb3 0.1086 0.2277 0.0064
Se1 0.0476 0.0089 0.3963
Se2 0.0786 0.3474 0.5153
Se3 0.1385 0.4064 0.8090
Se4 0.1627 0.0708 0.6590
Se5 0.1702 0.2360 0.2716
Se6 0.2464 0.4517 0.0775

Record 4
The following is a theoretical powder diffraction line list of NbGePt. It was derived from a DFT-relaxed cell (PBE, the Materials Project), using Cu Kα, 1.54184 Å.
Neutral-atom scattering factors, no anomalous dispersion.

Principal peaks in the range 15° ≤ 2θ ≤ 90°, by intensity:
| 2θ/deg | d/Å | I/Imax |
| --- | --- | --- |
| 35.52 | 2.527 | 100.0 |
| 37.61 | 2.391 | 80.0 |
| 35.62 | 2.520 | 75.5 |
| 42.41 | 2.131 | 67.8 |
| 45.65 | 1.987 | 61.3 |
| 43.32 | 2.089 | 53.7 |
| 28.83 | 3.097 | 44.5 |
| 70.03 | 1.344 | 35.9 |

a = 6.5182 Å, b = 3.9749 Å, c = 7.5743 Å
α = 90.00°, β = 90.00°, γ = 90.00°
Space group Pnma (No. 62)
Inequivalent atoms, fractional coordinates:
Nb1 0.0279 0.2500 0.1716
Ge1 0.2378 0.7500 0.3761
Pt1 0.1533 0.2500 0.5639

Record 5
The following is a theoretical powder diffraction line list of TiRe2Mo. It was derived from a DFT-relaxed cell (PBE, the Materials Project), using Cu Kα, 1.54184 Å.
Neutral-atom scattering factors, no anomalous dispersion.

Principal peaks in the range 15° ≤ 2θ ≤ 90°, by intensity:
| 2θ/deg | d/Å | I/Imax |
| --- | --- | --- |
| 40.80 | 2.212 | 100.0 |
| 74.27 | 1.277 | 34.0 |
| 28.54 | 3.128 | 23.8 |
| 59.07 | 1.564 | 16.7 |
| 88.39 | 1.106 | 11.3 |
| 66.89 | 1.399 | 9.6 |
| 50.54 | 1.806 | 7.1 |
| 24.65 | 3.612 | 2.4 |

a = 6.2559 Å, b = 6.2559 Å, c = 6.2559 Å
α = 90.00°, β = 90.00°, γ = 90.00°
Space group Fm-3m (No. 225)
Inequivalent atoms, fractional coordinates:
Ti1 0.0000 0.0000 0.0000
Re1 0.2500 0.2500 0.2500
Mo1 0.0000 0.0000 0.5000

Record 6
The following is a theoretical powder diffraction line list of LiZnIO4. It was derived from a DFT-relaxed cell (PBE, the Materials Project), using Cu Kα, 1.54184 Å.
Neutral-atom scattering factors, no anomalous dispersion.

Principal peaks in the range 15° ≤ 2θ ≤ 90°, by intensity:
| 2θ/deg | d/Å | I/Imax |
| --- | --- | --- |
| 22.20 | 4.004 | 100.0 |
| 28.15 | 3.170 | 28.9 |
| 42.05 | 2.149 | 24.5 |
| 34.58 | 2.594 | 22.8 |
| 16.23 | 5.462 | 20.7 |
| 32.80 | 2.731 | 19.4 |
| 32.07 | 2.791 | 12.7 |
| 32.53 | 2.752 | 12.3 |

a = 5.8863 Å, b = 11.0100 Å, c = 6.2900 Å
α = 90.00°, β = 90.00°, γ = 90.00°
Space group Ama2 (No. 40)
Inequivalent atoms, fractional coordinates:
Li1 0.2500 0.0645 0.0000
Zn1 0.0000 0.0000 0.4989
I1 0.2500 0.2815 0.3097
O1 0.0138 0.3125 0.4918
O2 0.2500 0.0823 0.3435
O3 0.2500 0.4564 0.2135